# 1
Starting from a structure optimized by DFT (GGA+U), the PXRD pattern of Fe10O11F9 was computed for CuKα.
Kinematic intensities with the Lorentz-polarization factor, no thermal factor.

Peak list (10 most intense, 10° ≤ 2θ ≤ 90°, sorted by position)
| 2θ (°) | d [Å] | Rel. int. |
| --- | --- | --- |
| 25.2 | 3.530 | 100 |
| 27.7 | 3.218 | 87 |
| 34.8 | 2.574 | 94 |
| 37.8 | 2.378 | 17 |
| 38.9 | 2.313 | 16 |
| 51.0 | 1.792 | 63 |
| 51.8 | 1.765 | 17 |
| 53.8 | 1.705 | 48 |
| 60.5 | 1.531 | 17 |
| 66.4 | 1.408 | 39 |

Cell and atoms:
Cell lengths 4.7760, 15.3095, 4.7761 Å; angles 90.00, 95.30, 90.00 degrees
Fractional coordinates of all 30 atoms:
1 Fe 0.0000 0.0000 0.0000
2 Fe 0.0234 0.3947 0.9604
3 Fe 0.0234 0.6053 0.9604
4 Fe 0.4866 0.3072 0.5069
5 Fe 0.4866 0.6928 0.5069
6 Fe 0.4999 0.1022 0.5010
7 Fe 0.4999 0.8978 0.5010
8 Fe 0.5081 0.5000 0.5469
9 Fe 0.9947 0.2000 0.0059
10 Fe 0.9947 0.8000 0.0059
11 O 0.1962 0.2976 0.1949
12 O 0.1962 0.7024 0.1949
13 O 0.1970 0.1000 0.2000
14 O 0.1970 0.9000 0.2000
15 O 0.3155 0.4004 0.6945
16 O 0.3155 0.5996 0.6945
17 O 0.7995 0.0999 0.8042
18 O 0.7995 0.9001 0.8042
19 O 0.8012 0.2952 0.7983
20 O 0.8012 0.7048 0.7983
21 O 0.8250 0.5000 0.8174
22 F 0.2097 0.5000 0.2048
23 F 0.3042 0.1998 0.6914
24 F 0.3042 0.8002 0.6914
25 F 0.3080 0.0000 0.6916
26 F 0.6886 0.2009 0.3095
27 F 0.6886 0.7991 0.3095
28 F 0.6904 0.0000 0.3111
29 F 0.6929 0.4023 0.3139
30 F 0.6929 0.5977 0.3139

# 2
Starting from a structure optimized by DFT (GGA+U), the PXRD pattern of Fe4O7F was computed for CuKα.
Kinematic intensities with the Lorentz-polarization factor, no thermal factor.

Peak list (10 most intense, 10° ≤ 2θ ≤ 90°, sorted by position)
| 2θ (°) | d [Å] | Rel. int. |
| --- | --- | --- |
| 26.6 | 3.347 | 100 |
| 27.7 | 3.222 | 97 |
| 35.6 | 2.523 | 52 |
| 35.8 | 2.509 | 50 |
| 38.8 | 2.321 | 20 |
| 52.9 | 1.731 | 28 |
| 53.4 | 1.717 | 30 |
| 54.2 | 1.691 | 28 |
| 54.4 | 1.687 | 28 |
| 68.4 | 1.371 | 25 |

Cell and atoms:
Cell lengths 5.5429, 5.5429, 8.9417 Å; angles 95.19, 95.19, 71.09 degrees
Fractional coordinates of all 24 atoms:
1 Fe 0.0000 0.0000 0.0000
2 Fe 0.1304 0.1304 0.6227
3 Fe 0.2336 0.2336 0.2548
4 Fe 0.3627 0.3627 0.8872
5 Fe 0.5000 0.5000 0.5000
6 Fe 0.6373 0.6373 0.1128
7 Fe 0.7664 0.7664 0.7452
8 Fe 0.8696 0.8696 0.3773
9 O 0.0160 0.0160 0.2149
10 O 0.0596 0.4482 0.7500
11 O 0.1925 0.8075 0.5000
12 O 0.2115 0.2115 0.0331
13 O 0.2814 0.2814 0.4696
14 O 0.3128 0.6872 0.0000
15 O 0.4482 0.0596 0.7500
16 O 0.5518 0.9404 0.2500
17 O 0.6872 0.3128 0.0000
18 O 0.7186 0.7186 0.5304
19 O 0.7885 0.7885 0.9669
20 O 0.8075 0.1925 0.5000
21 O 0.9404 0.5518 0.2500
22 O 0.9840 0.9840 0.7851
23 F 0.4726 0.4726 0.2734
24 F 0.5274 0.5274 0.7266

# 3
Starting from a structure optimized by DFT (GGA+U), the PXRD pattern of Fe4OF7 was computed for CuKα.
Kinematic intensities with the Lorentz-polarization factor, no thermal factor.

Peak list (10 most intense, 10° ≤ 2θ ≤ 90°, sorted by position)
| 2θ (°) | d [Å] | Rel. int. |
| --- | --- | --- |
| 25.9 | 3.437 | 90 |
| 26.7 | 3.342 | 80 |
| 33.2 | 2.700 | 100 |
| 38.0 | 2.368 | 18 |
| 38.5 | 2.337 | 20 |
| 50.5 | 1.806 | 63 |
| 51.4 | 1.778 | 49 |
| 53.3 | 1.718 | 17 |
| 56.3 | 1.634 | 19 |
| 65.0 | 1.435 | 39 |

Cell and atoms:
Cell lengths 7.6110, 7.6110, 6.6831 Å; angles 90.00, 90.00, 129.13 degrees
Fractional coordinates of all 24 atoms:
1 Fe 0.1163 0.3663 0.5338
2 Fe 0.1248 0.8752 0.5000
3 Fe 0.3663 0.1163 0.0338
4 Fe 0.3741 0.6259 0.0322
5 Fe 0.6259 0.3741 0.5322
6 Fe 0.6337 0.8837 0.5338
7 Fe 0.8752 0.1248 0.0000
8 Fe 0.8837 0.6337 0.0338
9 O 0.1254 0.8746 0.2265
10 O 0.8746 0.1254 0.7265
11 F 0.0155 0.4592 0.0274
12 F 0.1255 0.8745 0.8051
13 F 0.2119 0.2691 0.0268
14 F 0.2691 0.2119 0.5268
15 F 0.3754 0.6246 0.3328
16 F 0.3746 0.6254 0.7315
17 F 0.4592 0.0155 0.5274
18 F 0.5408 0.9845 0.0274
19 F 0.6254 0.3746 0.2315
20 F 0.6246 0.3754 0.8328
21 F 0.7309 0.7881 0.0268
22 F 0.7881 0.7309 0.5268
23 F 0.8745 0.1255 0.3051
24 F 0.9845 0.5408 0.5274

# 4
Starting from a structure optimized by DFT (GGA+U), the PXRD pattern of Fe4O7F was computed for CuKα.
Kinematic intensities with the Lorentz-polarization factor, no thermal factor.

Peak list (10 most intense, 10° ≤ 2θ ≤ 90°, sorted by position)
| 2θ (°) | d [Å] | Rel. int. |
| --- | --- | --- |
| 26.9 | 3.316 | 94 |
| 27.8 | 3.211 | 92 |
| 35.6 | 2.523 | 100 |
| 39.0 | 2.307 | 19 |
| 53.3 | 1.718 | 56 |
| 54.4 | 1.688 | 54 |
| 55.4 | 1.658 | 15 |
| 57.4 | 1.605 | 15 |
| 61.5 | 1.507 | 15 |
| 68.5 | 1.370 | 38 |

Cell and atoms:
Cell lengths 4.6157, 4.6157, 12.0572 Å; angles 90.00, 90.00, 91.85 degrees
Fractional coordinates of all 24 atoms:
1 Fe 0.0000 0.0000 0.0000
2 Fe 0.0000 0.0000 0.5000
3 Fe 0.0222 0.9778 0.7500
4 Fe 0.4949 0.5051 0.6208
5 Fe 0.4949 0.5051 0.8792
6 Fe 0.5051 0.4949 0.1208
7 Fe 0.5051 0.4949 0.3792
8 Fe 0.9778 0.0222 0.2500
9 O 0.1883 0.1972 0.1251
10 O 0.1883 0.1972 0.3749
11 O 0.1972 0.1883 0.6251
12 O 0.1972 0.1883 0.8749
13 O 0.3046 0.6954 0.0033
14 O 0.3046 0.6954 0.4967
15 O 0.3214 0.6786 0.7500
16 O 0.6786 0.3214 0.2500
17 O 0.6954 0.3046 0.5033
18 O 0.6954 0.3046 0.9967
19 O 0.8028 0.8117 0.1251
20 O 0.8028 0.8117 0.3749
21 O 0.8117 0.8028 0.6251
22 O 0.8117 0.8028 0.8749
23 F 0.2960 0.7040 0.2500
24 F 0.7040 0.2960 0.7500

# 5
Starting from a structure optimized by DFT (GGA+U), the PXRD pattern of Fe4OF6 was computed for CuKα.
Kinematic intensities with the Lorentz-polarization factor, no thermal factor.

Peak list (10 most intense, 10° ≤ 2θ ≤ 90°, sorted by position)
| 2θ (°) | d [Å] | Rel. int. |
| --- | --- | --- |
| 21.2 | 4.185 | 6 |
| 30.5 | 2.928 | 100 |
| 35.7 | 2.514 | 5 |
| 42.0 | 2.152 | 10 |
| 45.2 | 2.007 | 13 |
| 50.6 | 1.804 | 17 |
| 50.7 | 1.801 | 17 |
| 51.5 | 1.774 | 22 |
| 61.0 | 1.519 | 16 |
| 61.2 | 1.515 | 16 |

Cell and atoms:
Cell lengths 7.0956, 7.0956, 5.1832 Å; angles 90.00, 90.00, 90.23 degrees
Fractional coordinates of all 22 atoms:
1 Fe 0.0011 0.2499 0.0518
2 Fe 0.2499 0.0011 0.5518
3 Fe 0.2501 0.4989 0.5518
4 Fe 0.4989 0.2501 0.0518
5 Fe 0.5011 0.7499 0.9482
6 Fe 0.7499 0.5011 0.4482
7 Fe 0.7501 0.9989 0.4482
8 Fe 0.9989 0.7501 0.9482
9 O 0.2500 0.7500 0.7500
10 O 0.7500 0.2500 0.2500
11 F 0.0424 0.5424 0.2500
12 F 0.0427 0.9573 0.2500
13 F 0.2500 0.2500 0.3215
14 F 0.2500 0.2500 0.8215
15 F 0.4573 0.5427 0.2500
16 F 0.4576 0.9576 0.2500
17 F 0.5424 0.0424 0.7500
18 F 0.5427 0.4573 0.7500
19 F 0.7500 0.7500 0.1785
20 F 0.7500 0.7500 0.6785
21 F 0.9573 0.0427 0.7500
22 F 0.9576 0.4576 0.7500

# 6
Starting from a structure optimized by DFT (GGA+U), the PXRD pattern of Fe6O5F7 was computed for CuKα.
Kinematic intensities with the Lorentz-polarization factor, no thermal factor.

Peak list (10 most intense, 10° ≤ 2θ ≤ 90°, sorted by position)
| 2θ (°) | d [Å] | Rel. int. |
| --- | --- | --- |
| 25.7 | 3.473 | 100 |
| 27.2 | 3.274 | 94 |
| 34.3 | 2.618 | 25 |
| 34.5 | 2.599 | 50 |
| 34.7 | 2.584 | 25 |
| 51.4 | 1.778 | 16 |
| 51.5 | 1.775 | 16 |
| 52.7 | 1.736 | 19 |
| 59.6 | 1.551 | 17 |
| 66.2 | 1.412 | 20 |

Cell and atoms:
Cell lengths 4.7663, 5.6613, 7.8872 Å; angles 85.10, 87.86, 87.22 degrees
Fractional coordinates of all 18 atoms:
1 Fe 0.0000 0.0000 0.0000
2 Fe 0.0041 0.3244 0.6858
3 Fe 0.0123 0.6702 0.3590
4 Fe 0.4849 0.5070 0.0356
5 Fe 0.5344 0.1606 0.3323
6 Fe 0.5385 0.8537 0.6955
7 O 0.3071 0.4630 0.2608
8 O 0.3180 0.7985 0.9183
9 O 0.7100 0.8682 0.4517
10 O 0.7147 0.2115 0.1123
11 O 0.8195 0.0319 0.7847
12 F 0.2041 0.9616 0.2476
13 F 0.2046 0.6357 0.5860
14 F 0.2191 0.2979 0.9214
15 F 0.3279 0.1325 0.5724
16 F 0.6984 0.5394 0.7933
17 F 0.8070 0.3759 0.4468
18 F 0.8193 0.7058 0.1230

# 7
Starting from a structure optimized by DFT (GGA+U), the PXRD pattern of Fe3OF7 was computed for CuKα.
Kinematic intensities with the Lorentz-polarization factor, no thermal factor.

Peak list (10 most intense, 10° ≤ 2θ ≤ 90°, sorted by position)
| 2θ (°) | d [Å] | Rel. int. |
| --- | --- | --- |
| 17.5 | 5.063 | 31 |
| 17.9 | 4.969 | 14 |
| 18.4 | 4.834 | 100 |
| 23.0 | 3.872 | 20 |
| 34.3 | 2.613 | 13 |
| 34.7 | 2.585 | 22 |
| 41.8 | 2.163 | 26 |
| 42.7 | 2.118 | 50 |
| 60.7 | 1.525 | 13 |
| 61.8 | 1.502 | 12 |

Cell and atoms:
Cell lengths 6.1079, 6.1079, 10.5138 Å; angles 106.68, 106.68, 57.00 degrees
Fractional coordinates of all 22 atoms:
1 Fe 0.0005 0.9995 0.0000
2 Fe 0.9995 0.0005 0.5000
3 Fe 0.9996 0.4839 0.5033
4 Fe 0.2811 0.7226 0.7633
5 Fe 0.4839 0.9996 0.0033
6 Fe 0.7226 0.2811 0.2633
7 O 0.0679 0.1513 0.3865
8 O 0.1513 0.0679 0.8865
9 F 0.0993 0.6379 0.4036
10 F 0.1294 0.6521 0.8788
11 F 0.3304 0.8567 0.6309
12 F 0.3310 0.3998 0.6349
13 F 0.3562 0.8868 0.1121
14 F 0.3998 0.3310 0.1349
15 F 0.6156 0.6408 0.8831
16 F 0.6379 0.0993 0.9036
17 F 0.6408 0.6156 0.3831
18 F 0.6521 0.1294 0.3788
19 F 0.8543 0.9054 0.1227
20 F 0.8567 0.3304 0.1309
21 F 0.8868 0.3562 0.6121
22 F 0.9054 0.8543 0.6227

# 8
Starting from a structure optimized by DFT (GGA+U), the PXRD pattern of Fe10O11F9 was computed for CuKα.
Kinematic intensities with the Lorentz-polarization factor, no thermal factor.

Peak list (10 most intense, 10° ≤ 2θ ≤ 90°, sorted by position)
| 2θ (°) | d [Å] | Rel. int. |
| --- | --- | --- |
| 26.7 | 3.338 | 100 |
| 26.9 | 3.314 | 98 |
| 34.6 | 2.593 | 53 |
| 34.7 | 2.584 | 54 |
| 39.8 | 2.265 | 18 |
| 52.3 | 1.748 | 29 |
| 52.6 | 1.739 | 59 |
| 52.7 | 1.736 | 29 |
| 66.7 | 1.403 | 20 |
| 67.0 | 1.397 | 20 |

Cell and atoms:
Cell lengths 4.7020, 4.7047, 15.5017 Å; angles 89.73, 89.83, 89.59 degrees
Fractional coordinates of all 30 atoms:
1 Fe 0.0000 0.0000 0.0000
2 Fe 0.0015 0.9595 0.5969
3 Fe 0.4842 0.5313 0.9031
4 Fe 0.4976 0.5391 0.5002
5 Fe 0.5015 0.5354 0.7008
6 Fe 0.5044 0.5076 0.3027
7 Fe 0.5223 0.4676 0.0873
8 Fe 0.9878 0.0102 0.2042
9 Fe 0.9897 0.9670 0.3923
10 Fe 0.9944 0.9574 0.7993
11 O 0.1801 0.8144 0.9026
12 O 0.1820 0.8055 0.4956
13 O 0.1832 0.8012 0.6991
14 O 0.1944 0.7966 0.2936
15 O 0.3005 0.2989 0.9966
16 O 0.6791 0.6928 0.8019
17 O 0.6844 0.6886 0.3982
18 O 0.6856 0.6944 0.5998
19 O 0.7004 0.6988 0.9993
20 O 0.7953 0.1965 0.2980
21 O 0.8202 0.1784 0.0996
22 F 0.2056 0.7906 0.1029
23 F 0.2891 0.3006 0.7980
24 F 0.2939 0.2993 0.4007
25 F 0.2937 0.3005 0.5991
26 F 0.3129 0.3042 0.1962
27 F 0.6921 0.6844 0.1948
28 F 0.7901 0.1968 0.4999
29 F 0.7923 0.1996 0.8958
30 F 0.7925 0.1951 0.6992

# 9
Starting from a structure optimized by DFT (GGA+U), the PXRD pattern of Fe2OF2 was computed for CuKα.
Kinematic intensities with the Lorentz-polarization factor, no thermal factor.

Peak list (10 most intense, 10° ≤ 2θ ≤ 90°, sorted by position)
| 2θ (°) | d [Å] | Rel. int. |
| --- | --- | --- |
| 22.7 | 3.913 | 35 |
| 31.3 | 2.862 | 51 |
| 31.5 | 2.838 | 100 |
| 32.7 | 2.742 | 73 |
| 33.4 | 2.680 | 39 |
| 37.9 | 2.376 | 30 |
| 46.4 | 1.956 | 43 |
| 50.8 | 1.797 | 55 |
| 57.8 | 1.596 | 34 |
| 59.3 | 1.559 | 38 |

Cell and atoms:
Cell lengths 5.4857, 5.4857, 14.2797 Å; angles 90.02, 90.02, 58.50 degrees
Fractional coordinates of all 30 atoms:
1 Fe 0.0018 0.9857 0.6471
2 Fe 0.0143 0.9982 0.8529
3 Fe 0.3491 0.3541 0.5221
4 Fe 0.3506 0.3658 0.3120
5 Fe 0.3541 0.3491 0.0221
6 Fe 0.3658 0.3506 0.8120
7 Fe 0.6342 0.6494 0.1880
8 Fe 0.6459 0.6509 0.9779
9 Fe 0.6494 0.6342 0.6880
10 Fe 0.6509 0.6459 0.4779
11 Fe 0.9857 0.0018 0.1471
12 Fe 0.9982 0.0143 0.3529
13 O 0.2671 0.7329 0.2500
14 O 0.3218 0.6484 0.9150
15 O 0.3516 0.6782 0.5850
16 O 0.6484 0.3218 0.4150
17 O 0.6782 0.3516 0.0850
18 O 0.7329 0.2671 0.7500
19 F 0.0154 0.6432 0.4183
20 F 0.0170 0.3215 0.2506
21 F 0.0511 0.3372 0.9175
22 F 0.3215 0.0170 0.7506
23 F 0.3372 0.0511 0.4175
24 F 0.3568 0.9846 0.0817
25 F 0.6432 0.0154 0.9183
26 F 0.6628 0.9489 0.5825
27 F 0.6785 0.9830 0.2494
28 F 0.9489 0.6628 0.0825
29 F 0.9830 0.6785 0.7494
30 F 0.9846 0.3568 0.5817

# 10
Starting from a structure optimized by DFT (GGA+U), the PXRD pattern of Fe2O3F was computed for CuKα.
Kinematic intensities with the Lorentz-polarization factor, no thermal factor.

Peak list (10 most intense, 10° ≤ 2θ ≤ 90°, sorted by position)
| 2θ (°) | d [Å] | Rel. int. |
| --- | --- | --- |
| 25.9 | 3.440 | 100 |
| 27.9 | 3.198 | 94 |
| 35.4 | 2.533 | 99 |
| 38.4 | 2.342 | 18 |
| 39.8 | 2.266 | 16 |
| 52.1 | 1.755 | 58 |
| 53.3 | 1.720 | 15 |
| 54.4 | 1.687 | 53 |
| 61.6 | 1.506 | 16 |
| 67.6 | 1.386 | 38 |

Cell and atoms:
Cell lengths 12.0442, 4.6972, 4.6972 Å; angles 85.82, 90.00, 90.00 degrees
Fractional coordinates of all 24 atoms:
1 Fe 0.0000 0.0000 0.0000
2 Fe 0.1246 0.4635 0.4635
3 Fe 0.2502 0.0049 0.0049
4 Fe 0.3746 0.4775 0.4775
5 Fe 0.5000 0.9449 0.9449
6 Fe 0.6254 0.4775 0.4775
7 Fe 0.7498 0.0049 0.0049
8 Fe 0.8754 0.4635 0.4635
9 O 0.0000 0.2895 0.2895
10 O 0.1248 0.1762 0.7917
11 O 0.1248 0.7917 0.1762
12 O 0.2536 0.2945 0.2945
13 O 0.3744 0.1685 0.7822
14 O 0.3744 0.7822 0.1685
15 O 0.5000 0.6542 0.6542
16 O 0.6256 0.1685 0.7822
17 O 0.6256 0.7822 0.1685
18 O 0.7464 0.2945 0.2945
19 O 0.8752 0.1762 0.7917
20 O 0.8752 0.7917 0.1762
21 F 0.0000 0.6726 0.6726
22 F 0.2471 0.6754 0.6754
23 F 0.5000 0.2756 0.2756
24 F 0.7529 0.6754 0.6754

Question: Number 10 is which compound?
Answer: Fe2O3F

Question: Which formula does entry 3 have?
Answer: Fe4OF7